1.
RbP2PdO8: calculated PXRD pattern (copper Kα), based on a structure optimized by DFT (GGA-PBE).
Peak positions follow from Bragg's law for the DFT cell and can differ from measured ones.

Most intense lines, 5° ≤ 2θ ≤ 70°, in order of rising 2θ:
two_theta	intensity
10.0	383
21.1	485
23.4	283
29.4	1000
37.0	316
42.5	212
46.5	250
47.9	247
56.4	143
62.0	222

Structure:
```
data_RbP2PdO8
_chemical_formula_sum 'Rb1 P2 Pd1 O8'
_cell_length_a 4.8600
_cell_length_b 4.8600
_cell_length_c 8.8081
_cell_angle_alpha 90.00
_cell_angle_beta 90.00
_cell_angle_gamma 120.00
_space_group_name_H-M_alt 'P 1'
_space_group_IT_number 1
loop_
_space_group_symop_operation_xyz
'x,y,z'
loop_
_atom_site_label
_atom_site_fract_x
_atom_site_fract_y
_atom_site_fract_z
Rb1 0.0000 0.0000 0.0000
P1 0.3333 0.6667 0.6917
P2 0.6667 0.3333 0.3083
Pd1 0.0000 0.0000 0.5000
O1 0.0387 0.3504 0.6354
O2 0.3117 0.9613 0.6354
O3 0.3333 0.6667 0.8641
O4 0.3504 0.3117 0.3646
O5 0.6496 0.6883 0.6354
O6 0.6667 0.3333 0.1359
O7 0.6883 0.0387 0.3646
O8 0.9613 0.6496 0.3646
```



2.
RbP2Pd2O7: calculated PXRD pattern (copper Kα), based on a structure optimized by DFT (GGA-PBE).
Peak positions follow from Bragg's law for the DFT cell and can differ from measured ones.

Most intense lines, 5° ≤ 2θ ≤ 70°, in order of rising 2θ:
two_theta	intensity
22.2	265
23.3	1000
25.8	488
31.3	712
33.6	108
35.0	165
39.3	275
46.6	296
51.1	285
55.6	178

Structure:
```
data_RbP2Pd2O7
_chemical_formula_sum 'Rb1 P2 Pd2 O7'
_cell_length_a 8.6531
_cell_length_b 8.6531
_cell_length_c 8.6531
_cell_angle_alpha 38.61
_cell_angle_beta 38.61
_cell_angle_gamma 38.61
_space_group_name_H-M_alt 'P 1'
_space_group_IT_number 1
loop_
_space_group_symop_operation_xyz
'x,y,z'
loop_
_atom_site_label
_atom_site_fract_x
_atom_site_fract_y
_atom_site_fract_z
Rb1 0.0000 0.0000 0.0000
P1 0.4334 0.4334 0.4334
P2 0.5666 0.5666 0.5666
Pd1 0.2355 0.2355 0.2355
Pd2 0.7645 0.7645 0.7645
O1 0.1474 0.4373 0.6575
O2 0.3425 0.5627 0.8526
O3 0.4373 0.6575 0.1474
O4 0.5000 0.5000 0.5000
O5 0.5627 0.8526 0.3425
O6 0.6575 0.1474 0.4373
O7 0.8526 0.3425 0.5627
```